The following is a calculated X-ray powder pattern of Y3AlNi8. It was derived from the GGA-PBE geometry in the Materials Project, using Cu Kα (λ = 1.5418 Å).
Neutral-atom scattering factors, no anomalous dispersion.

Atomic structure:
```
Y3AlNi8
1.0
5.0760 0.0000 0.0000
-2.5380 4.3960 0.0000
0.0000 0.0000 16.5554
Y Al Ni
6 2 16
Cartesian
0.0000 0.0000 4.1389
0.0000 0.0000 12.4166
0.0000 2.9306 0.7824
0.0000 2.9306 7.4954
2.5380 1.4653 9.0601
2.5380 1.4653 15.7731
0.0000 2.9306 4.1389
2.5380 1.4653 12.4166
0.0000 0.0000 0.0000
0.0000 0.0000 8.2777
0.0000 1.5316 10.2336
0.0000 1.5316 14.5996
-1.2116 3.6302 10.2336
-1.2116 3.6302 14.5996
0.0000 2.9306 12.4166
1.3264 0.7658 1.9558
1.3264 0.7658 6.3219
1.2116 3.6302 10.2336
1.2116 3.6302 14.5996
2.5380 1.4653 4.1389
3.7496 0.7658 1.9558
3.7496 0.7658 6.3219
2.5380 2.8644 1.9558
2.5380 2.8644 6.3219
```

Most intense lines, 15° ≤ 2θ ≤ 90°, sorted by position:
2θ 33.89, I = 34; 2θ 35.37, I = 37; 2θ 41.44, I = 30; 2θ 41.75, I = 100; 2θ 43.45, I = 36; 2θ 43.74, I = 18; 2θ 44.36, I = 76; 2θ 46.80, I = 26; 2θ 67.86, I = 24; 2θ 74.82, I = 27



The following is a calculated X-ray powder pattern of Mg14FeCo. It was derived from the GGA-PBE geometry in the Materials Project, using Cu Kα (λ = 1.5418 Å).
Neutral-atom scattering factors, no anomalous dispersion.

Atomic structure:
```
Mg14FeCo
1.0
6.2351 0.0000 0.0000
-3.1175 5.3998 0.0000
0.0000 0.0000 9.7283
Mg Fe Co
14 1 1
Cartesian
0.0000 0.0000 2.4180
0.0000 0.0000 7.3102
-1.4664 2.7532 2.4512
-1.4664 2.7532 7.2771
1.5624 0.9020 4.8641
1.5670 0.9047 0.0000
1.4664 2.7532 2.4512
1.4664 2.7532 7.2771
0.0000 5.2931 2.4512
0.0000 5.2931 7.2771
4.6681 0.9047 0.0000
3.1175 3.5904 0.0000
4.6727 0.9020 4.8641
3.1176 3.5957 4.8641
0.0000 3.5998 0.0000
0.0000 3.5998 4.8641
```

Most intense lines, 15° ≤ 2θ ≤ 90°, sorted by position:
2θ 16.42, I = 16; 2θ 24.63, I = 7; 2θ 33.18, I = 26; 2θ 36.96, I = 24; 2θ 38.12, I = 100; 2θ 50.51, I = 15; 2θ 59.28, I = 17; 2θ 67.37, I = 17; 2θ 71.95, I = 18; 2θ 72.69, I = 13



The following is a calculated X-ray powder pattern of Cd5S4Cl2. It was derived from the GGA-PBE geometry in the Materials Project, using Cu Kα (λ = 1.5418 Å).
Neutral-atom scattering factors, no anomalous dispersion.

Atomic structure:
```
Cd5S4Cl2
1.0
7.2893 -2.1351 0.0000
7.2893 2.1351 0.0000
-1.6235 0.0000 9.7144
Cd S Cl
5 4 2
Cartesian
0.0000 0.0000 0.0000
-0.5516 0.0000 3.6477
4.0435 0.0000 6.2714
7.8593 0.0000 6.9623
9.9221 0.0000 2.9431
1.4783 0.0000 2.1102
5.5199 0.0000 8.4095
6.3158 0.0000 4.9084
10.1557 0.0000 5.4916
1.4190 0.0000 8.2054
12.2555 0.0000 1.7052
```

Most intense lines, 15° ≤ 2θ ≤ 90°, sorted by position:
2θ 23.18, I = 33; 2θ 23.74, I = 64; 2θ 23.98, I = 100; 2θ 27.84, I = 58; 2θ 27.98, I = 50; 2θ 28.34, I = 92; 2θ 41.89, I = 78; 2θ 42.34, I = 50; 2θ 43.96, I = 34; 2θ 51.07, I = 41